1.
Theoretical powder XRD pattern
Compound: HfBe2
Radiation: λ = 1.5418 Å (Cu Kα)
Structure: DFT lattice parameters and positions (GGA-PBE)
Intensities are scaled so that the largest is 100.

Crystal structure
Cell: 3.793 3.793 3.162 Å, 90.00 90.00 120.00°
Sites, in units of the cell vectors:
Hf: 0.000 0.000 0.000
Be: 0.333 0.667 0.500
Be: 0.667 0.333 0.500

Peak list (10 most intense, 10° ≤ 2θ ≤ 90°, in order of rising 2θ)
- 2θ 27.1, d = 3.285 Å, intensity 100
- 2θ 28.2, d = 3.162 Å, intensity 28
- 2θ 39.6, d = 2.278 Å, intensity 86
- 2θ 48.0, d = 1.897 Å, intensity 26
- 2θ 56.0, d = 1.643 Å, intensity 14
- 2θ 56.6, d = 1.627 Å, intensity 25
- 2θ 63.9, d = 1.458 Å, intensity 21
- 2θ 65.5, d = 1.425 Å, intensity 17
- 2θ 78.8, d = 1.215 Å, intensity 13
- 2θ 83.7, d = 1.156 Å, intensity 20

2.
Theoretical powder XRD pattern
Compound: Hf6Be15Pd8
Radiation: λ = 1.5418 Å (Cu Kα)
Structure: DFT lattice parameters and positions (GGA-PBE)
Intensities are scaled so that the largest is 100.

Crystal structure
Cell: 8.068 8.068 8.068 Å, 60.00 60.00 60.00°
Sites, in units of the cell vectors:
Hf: 0.197 0.197 0.803
Hf: 0.197 0.803 0.197
Hf: 0.197 0.803 0.803
Hf: 0.803 0.197 0.197
Hf: 0.803 0.197 0.803
Hf: 0.803 0.803 0.197
Be: 0.000 0.000 0.500
Be: 0.000 0.500 0.000
Be: 0.000 0.500 0.500
Be: 0.173 0.173 0.173
Be: 0.173 0.173 0.480
Be: 0.173 0.480 0.173
Be: 0.480 0.173 0.173
Be: 0.500 0.000 0.000
Be: 0.500 0.000 0.500
Be: 0.500 0.500 0.000
Be: 0.500 0.500 0.500
Be: 0.520 0.827 0.827
Be: 0.827 0.520 0.827
Be: 0.827 0.827 0.520
Be: 0.827 0.827 0.827
Pd: 0.125 0.625 0.625
Pd: 0.375 0.375 0.375
Pd: 0.375 0.375 0.875
Pd: 0.375 0.875 0.375
Pd: 0.625 0.125 0.625
Pd: 0.625 0.625 0.125
Pd: 0.625 0.625 0.625
Pd: 0.875 0.375 0.375

Peak list (10 most intense, 10° ≤ 2θ ≤ 90°, in order of rising 2θ)
- 2θ 15.5, d = 5.705 Å, intensity 41
- 2θ 27.1, d = 3.294 Å, intensity 65
- 2θ 34.3, d = 2.618 Å, intensity 100
- 2θ 38.7, d = 2.329 Å, intensity 28
- 2θ 41.1, d = 2.196 Å, intensity 94
- 2θ 44.9, d = 2.017 Å, intensity 81
- 2θ 67.2, d = 1.394 Å, intensity 32
- 2θ 70.0, d = 1.345 Å, intensity 22
- 2θ 71.6, d = 1.317 Å, intensity 23
- 2θ 88.7, d = 1.103 Å, intensity 18

3.
Theoretical powder XRD pattern
Compound: HoBe13
Radiation: λ = 1.5418 Å (Cu Kα)
Structure: DFT lattice parameters and positions (GGA-PBE)
Intensities are scaled so that the largest is 100.

Crystal structure
Cell: 7.182 7.182 7.182 Å, 60.00 60.00 60.00°
Sites, in units of the cell vectors:
Ho: 0.250 0.250 0.250
Ho: 0.750 0.750 0.750
Be: 0.000 0.000 0.000
Be: 0.063 0.291 0.709
Be: 0.063 0.709 0.937
Be: 0.063 0.937 0.291
Be: 0.209 0.437 0.791
Be: 0.209 0.563 0.437
Be: 0.209 0.791 0.563
Be: 0.291 0.063 0.937
Be: 0.291 0.709 0.063
Be: 0.291 0.937 0.709
Be: 0.437 0.209 0.563
Be: 0.437 0.563 0.791
Be: 0.437 0.791 0.209
Be: 0.500 0.500 0.500
Be: 0.563 0.209 0.791
Be: 0.563 0.437 0.209
Be: 0.563 0.791 0.437
Be: 0.709 0.063 0.291
Be: 0.709 0.291 0.937
Be: 0.709 0.937 0.063
Be: 0.791 0.209 0.437
Be: 0.791 0.437 0.563
Be: 0.791 0.563 0.209
Be: 0.937 0.063 0.709
Be: 0.937 0.291 0.063
Be: 0.937 0.709 0.291

Peak list (10 most intense, 10° ≤ 2θ ≤ 90°, in order of rising 2θ)
- 2θ 17.5, d = 5.078 Å, intensity 92
- 2θ 24.8, d = 3.591 Å, intensity 100
- 2θ 30.5, d = 2.932 Å, intensity 44
- 2θ 35.3, d = 2.539 Å, intensity 23
- 2θ 39.7, d = 2.271 Å, intensity 71
- 2θ 43.7, d = 2.073 Å, intensity 60
- 2θ 54.2, d = 1.693 Å, intensity 23
- 2θ 57.4, d = 1.606 Å, intensity 25
- 2θ 69.2, d = 1.357 Å, intensity 28
- 2θ 77.5, d = 1.232 Å, intensity 20

4.
Theoretical powder XRD pattern
Compound: HoBeO3
Radiation: λ = 1.5418 Å (Cu Kα)
Structure: DFT lattice parameters and positions (GGA-PBE)
Intensities are scaled so that the largest is 100.

Crystal structure
Cell: 3.563 3.563 3.563 Å, 90.00 90.00 90.00°
Sites, in units of the cell vectors:
Ho: 0.000 0.000 0.000
Be: 0.500 0.500 0.500
O: 0.000 0.500 0.500
O: 0.500 0.000 0.500
O: 0.500 0.500 0.000

Peak list (9 most intense, 10° ≤ 2θ ≤ 90°, in order of rising 2θ)
- 2θ 25.0, d = 3.563 Å, intensity 100
- 2θ 35.6, d = 2.519 Å, intensity 98
- 2θ 44.0, d = 2.057 Å, intensity 65
- 2θ 51.3, d = 1.781 Å, intensity 34
- 2θ 57.9, d = 1.593 Å, intensity 43
- 2θ 64.0, d = 1.454 Å, intensity 38
- 2θ 75.5, d = 1.260 Å, intensity 20
- 2θ 81.0, d = 1.188 Å, intensity 21
- 2θ 86.4, d = 1.127 Å, intensity 17

5.
Theoretical powder XRD pattern
Compound: Ho2Be2SiO7
Radiation: λ = 1.5418 Å (Cu Kα)
Structure: DFT lattice parameters and positions (GGA-PBE)
Intensities are scaled so that the largest is 100.

Crystal structure
Cell: 7.313 7.313 4.778 Å, 90.00 90.00 90.00°
Sites, in units of the cell vectors:
Ho: 0.159 0.341 0.492
Ho: 0.341 0.841 0.508
Ho: 0.659 0.159 0.508
Ho: 0.841 0.659 0.492
Be: 0.137 0.637 0.959
Be: 0.363 0.137 0.041
Be: 0.637 0.863 0.041
Be: 0.863 0.363 0.959
Si: 0.000 0.000 0.000
Si: 0.500 0.500 0.000
O: 0.000 0.500 0.816
O: 0.082 0.837 0.799
O: 0.141 0.641 0.292
O: 0.163 0.082 0.201
O: 0.337 0.582 0.799
O: 0.359 0.141 0.708
O: 0.418 0.337 0.201
O: 0.500 0.000 0.184
O: 0.582 0.663 0.201
O: 0.641 0.859 0.708
O: 0.663 0.418 0.799
O: 0.837 0.918 0.201
O: 0.859 0.359 0.292
O: 0.918 0.163 0.799

Peak list (10 most intense, 10° ≤ 2θ ≤ 90°, in order of rising 2θ)
- 2θ 18.6, d = 4.778 Å, intensity 54
- 2θ 25.4, d = 3.509 Å, intensity 25
- 2θ 27.3, d = 3.271 Å, intensity 52
- 2θ 30.8, d = 2.904 Å, intensity 27
- 2θ 33.2, d = 2.699 Å, intensity 100
- 2θ 38.9, d = 2.313 Å, intensity 17
- 2θ 43.5, d = 2.082 Å, intensity 19
- 2θ 47.1, d = 1.929 Å, intensity 42
- 2θ 55.3, d = 1.662 Å, intensity 32
- 2θ 56.8, d = 1.621 Å, intensity 19

6.
Theoretical powder XRD pattern
Compound: La3BeInS7
Radiation: λ = 1.5418 Å (Cu Kα)
Structure: DFT lattice parameters and positions (GGA-PBE)
Intensities are scaled so that the largest is 100.

Crystal structure
Cell: 10.245 10.245 6.153 Å, 90.00 90.00 120.00°
Sites, in units of the cell vectors:
La: 0.137 0.393 0.000
La: 0.257 0.863 0.000
La: 0.393 0.257 0.500
La: 0.607 0.743 0.000
La: 0.743 0.137 0.500
La: 0.863 0.607 0.500
Be: 0.333 0.667 0.412
Be: 0.667 0.333 0.912
In: 0.000 0.000 0.266
In: 0.000 0.000 0.766
S: 0.082 0.238 0.521
S: 0.115 0.595 0.281
S: 0.157 0.918 0.521
S: 0.238 0.157 0.021
S: 0.333 0.667 0.761
S: 0.405 0.520 0.281
S: 0.480 0.885 0.281
S: 0.520 0.115 0.781
S: 0.595 0.480 0.781
S: 0.667 0.333 0.261
S: 0.762 0.843 0.521
S: 0.843 0.082 0.021
S: 0.885 0.405 0.781
S: 0.918 0.762 0.021

Peak list (10 most intense, 10° ≤ 2θ ≤ 90°, in order of rising 2θ)
- 2θ 17.5, d = 5.056 Å, intensity 61
- 2θ 22.6, d = 3.937 Å, intensity 49
- 2θ 24.7, d = 3.599 Å, intensity 65
- 2θ 26.6, d = 3.354 Å, intensity 100
- 2θ 33.6, d = 2.666 Å, intensity 54
- 2θ 34.0, d = 2.637 Å, intensity 50
- 2θ 35.5, d = 2.528 Å, intensity 54
- 2θ 39.4, d = 2.285 Å, intensity 52
- 2θ 39.8, d = 2.267 Å, intensity 52
- 2θ 47.0, d = 1.935 Å, intensity 57